For MgFe7Ni6O16, a DFT-relaxed cell (PBE+U, Alexandria) gives the simulated X-ray diffraction stick pattern in this record (CuKα).
Intensities are scaled so that the largest is 100.

Crystal structure
a b c (Å): 6.0135 6.0322 10.3891
angles (deg): 105.92 90.38 119.79
Space group P1 (No. 1)
Inequivalent atoms, fractional coordinates:
Mg  0.0000  0.0000  0.0000 [1 per cell]
Fe  0.0066  0.5289  0.5009 [1 per cell]
Fe  0.0371  0.5797  0.1843 [1 per cell]
Fe  0.2788  0.0945  0.2585 [1 per cell]
Fe  0.4959  0.4982  0.0132 [1 per cell]
Fe  0.5041  0.0257  0.5077 [1 per cell]
Fe  0.5112  0.5364  0.5033 [1 per cell]
Fe  0.7405  0.9982  0.2606 [1 per cell]
Ni  0.0093  0.0301  0.5116 [1 per cell]
Ni  0.2465  0.5181  0.7673 [1 per cell]
Ni  0.2539  0.0175  0.7570 [1 per cell]
Ni  0.4921  0.9998  0.0026 [1 per cell]
Ni  0.7612  0.0341  0.7693 [1 per cell]
Ni  0.7615  0.5181  0.7653 [1 per cell]
O  0.1319  0.7707  0.8695 [1 per cell]
O  0.1380  0.2552  0.8760 [1 per cell]
O  0.1418  0.2895  0.3991 [1 per cell]
O  0.1512  0.8012  0.3805 [1 per cell]
O  0.3672  0.2394  0.1094 [1 per cell]
O  0.3732  0.7428  0.1262 [1 per cell]
O  0.3880  0.2750  0.6283 [1 per cell]
O  0.3947  0.7776  0.6307 [1 per cell]
O  0.6102  0.2597  0.8788 [1 per cell]
O  0.6158  0.2719  0.3920 [1 per cell]
O  0.6237  0.7531  0.8837 [1 per cell]
O  0.6432  0.8080  0.4050 [1 per cell]
O  0.8503  0.2070  0.1280 [1 per cell]
O  0.8706  0.7628  0.6287 [1 per cell]
O  0.8722  0.2673  0.6372 [1 per cell]
O  0.8786  0.7648  0.1336 [1 per cell]

Largest 10 diffraction maxima, in order of falling intensity, 2θ = 10–90°:
- 2θ = 42.36°, rel. 100
- 2θ = 42.18°, rel. 100
- 2θ = 42.69°, rel. 91
- 2θ = 36.54°, rel. 82
- 2θ = 61.67°, rel. 69
- 2θ = 36.22°, rel. 49
- 2θ = 36.75°, rel. 38
- 2θ = 62.04°, rel. 37
- 2θ = 27.17°, rel. 31
- 2θ = 60.94°, rel. 31